HoErPS: theoretical powder X-ray diffraction pattern (Cu Kα (λ = 1.5418 Å)), based on a DFT-relaxed cell (PBE, Alexandria).
Peak positions follow from Bragg's law for the DFT cell and can differ from measured ones.

Structure:
```
data_HoErPS
_chemical_formula_sum 'Ho3 Er3 P3 S3'
_space_group_name_H-M_alt 'R 3 m'
_space_group_IT_number 160
_space_group_name_Hall 'R 3 -2"'
_cell_length_a 3.9282
_cell_length_b 3.9282
_cell_length_c 19.3124
_cell_angle_alpha 90.00
_cell_angle_beta 90.00
_cell_angle_gamma 120.00
loop_
_atom_site_label
_atom_site_fract_x
_atom_site_fract_y
_atom_site_fract_z
_atom_site_occupancy
Ho1 0.0000 0.0000 0.0000 1
Er1 0.0000 0.0000 0.5062 1
P1 0.0000 0.0000 0.2526 1
S1 0.0000 0.0000 0.7536 1
```

Peak list (8 most intense, 2θ from 10° to 90°, sorted by position)
d [Å], intensity, hkl
3.211, 86, 0 1 2
2.781, 100, 1 0 4
1.969, 36, 0 1 8
1.964, 36, 1 1 0
1.676, 31, 2 0 2
1.604, 19, 0 2 4
1.242, 16, 2 1 4
1.135, 19, 3 0 0